(1)
Starting from a cell relaxed with PBE, the X-ray powder pattern of Nd8Ge2Rh was computed for Cu Kα X-rays.

```
data_Nd8Ge2Rh
_chemical_formula_sum 'Nd16 Ge4 Rh2'
_space_group_name_H-M_alt 'C 1 2/m 1'
_space_group_IT_number 12
_space_group_name_Hall '-C 2y'
_cell_length_a 19.077
_cell_length_b 4.797
_cell_length_c 7.151
_cell_angle_alpha 90.00
_cell_angle_beta 101.50
_cell_angle_gamma 90.00
loop_
_atom_site_label
_atom_site_type_symbol
_atom_site_fract_x
_atom_site_fract_y
_atom_site_fract_z
Nd1 Nd 0.018 0.000 0.280
Nd2 Nd 0.095 0.500 0.986
Nd3 Nd 0.153 0.500 0.503
Nd4 Nd 0.216 0.000 0.836
Ge1 Ge 0.183 0.000 0.254
Rh1 Rh 0.000 0.500 0.500
```

Most intense lines, 2θ = 10–80°, sorted by position:
- 28.03 deg, intensity 29.0, hkl 3 1 1
- 28.64 deg, intensity 20.6, hkl 4 0 -2
- 28.95 deg, intensity 24.7, hkl 6 0 -1
- 30.31 deg, intensity 52.8, hkl 5 1 0
- 31.20 deg, intensity 100.0, hkl 1 1 -2
- 32.77 deg, intensity 27.1, hkl 1 1 2
- 33.73 deg, intensity 18.2, hkl 6 0 1
- 34.81 deg, intensity 18.1, hkl 5 1 1
- 37.50 deg, intensity 49.3, hkl 0 2 0
- 38.49 deg, intensity 22.2, hkl 7 1 -1
- 52.19 deg, intensity 17.7, hkl 0 0 4
- 60.81 deg, intensity 21.8, hkl 7 1 3

(2)
Starting from a cell relaxed with PBE, the X-ray powder pattern of Y11Cd9Hg4 was computed for Cu Kα X-rays.

```
data_Y11Cd9Hg4
_chemical_formula_sum 'Y22 Cd18 Hg8'
_space_group_name_H-M_alt 'C m m m'
_space_group_IT_number 65
_space_group_name_Hall '-C 2 2'
_cell_length_a 14.866
_cell_length_b 22.245
_cell_length_c 3.793
_cell_angle_alpha 90.00
_cell_angle_beta 90.00
_cell_angle_gamma 90.00
loop_
_atom_site_label
_atom_site_type_symbol
_atom_site_fract_x
_atom_site_fract_y
_atom_site_fract_z
Y1 Y 0.000 0.000 0.000
Y2 Y 0.000 0.166 0.000
Y3 Y 0.000 0.353 0.000
Y4 Y 0.231 0.500 0.000
Y5 Y 0.240 0.172 0.000
Cd1 Cd 0.000 0.500 0.500
Cd2 Cd 0.111 0.258 0.500
Cd3 Cd 0.129 0.078 0.500
Hg1 Hg 0.146 0.405 0.500
```

Most intense lines, 2θ = 10–80°, sorted by position:
- 23.45 deg, intensity 7.1, hkl 0 0 1
- 23.98 deg, intensity 5.3, hkl 0 6 0
- 30.97 deg, intensity 6.4, hkl 2 4 1
- 32.07 deg, intensity 6.0, hkl 3 3 1
- 33.79 deg, intensity 100.0, hkl 0 6 1
- 34.16 deg, intensity 51.6, hkl 4 6 0
- 36.00 deg, intensity 9.8, hkl 3 5 1
- 47.97 deg, intensity 12.4, hkl 0 0 2
- 49.02 deg, intensity 7.0, hkl 8 0 0
- 49.15 deg, intensity 7.1, hkl 0 12 0
- 60.20 deg, intensity 19.4, hkl 4 6 2
- 60.92 deg, intensity 20.4, hkl 4 12 1

(3)
Starting from a cell relaxed with PBE, the X-ray powder pattern of YMg14Ti was computed for Cu Kα X-rays.

```
data_YMg14Ti
_chemical_formula_sum 'Y1 Mg14 Ti1'
_space_group_name_H-M_alt 'P -6 m 2'
_space_group_IT_number 187
_space_group_name_Hall 'P -6 2'
_cell_length_a 6.4894
_cell_length_b 6.4894
_cell_length_c 10.1970
_cell_angle_alpha 90.00
_cell_angle_beta 90.00
_cell_angle_gamma 120.00
loop_
_atom_site_label
_atom_site_type_symbol
_atom_site_fract_x
_atom_site_fract_y
_atom_site_fract_z
Y1 Y 0.0000 0.0000 0.0000
Mg1 Mg 0.0117 0.5059 0.0000
Mg2 Mg 0.1649 0.3299 0.2592
Mg3 Mg 0.5008 0.0015 0.5000
Mg4 Mg 0.6667 0.3333 0.2413
Ti1 Ti 0.0000 0.0000 0.5000
```

Most intense lines, 2θ = 10–80°, sorted by position:
- 15.77 deg, intensity 17.6, hkl 1 0 0
- 18.02 deg, intensity 4.9, hkl 1 0 1
- 23.56 deg, intensity 12.4, hkl 1 0 2
- 31.85 deg, intensity 26.5, hkl 2 0 0
- 32.71 deg, intensity 5.5, hkl 1 1 2
- 35.20 deg, intensity 24.0, hkl 0 0 4
- 36.51 deg, intensity 100.0, hkl 2 0 2
- 48.20 deg, intensity 15.7, hkl 2 0 4
- 56.74 deg, intensity 17.4, hkl 2 2 0
- 64.03 deg, intensity 17.2, hkl 2 0 6
- 68.56 deg, intensity 18.6, hkl 2 2 4
- 69.38 deg, intensity 13.7, hkl 4 0 2

(4)
Starting from a cell relaxed with PBE, the X-ray powder pattern of AcPrZnOs was computed for Cu Kα X-rays.

```
data_AcPrZnOs
_chemical_formula_sum 'Ac4 Pr4 Zn4 Os4'
_space_group_name_H-M_alt 'F -4 3 m'
_space_group_IT_number 216
_space_group_name_Hall 'F -4 2 3'
_cell_length_a 7.395
_cell_length_b 7.395
_cell_length_c 7.395
_cell_angle_alpha 90.00
_cell_angle_beta 90.00
_cell_angle_gamma 90.00
loop_
_atom_site_label
_atom_site_type_symbol
_atom_site_fract_x
_atom_site_fract_y
_atom_site_fract_z
Ac1 Ac 0.000 0.000 0.000
Pr1 Pr 0.000 0.000 0.500
Zn1 Zn 0.250 0.250 0.250
Os1 Os 0.250 0.250 0.750
```

Most intense lines, 2θ = 10–80°, sorted by position:
- 20.81 deg, intensity 11.2, hkl 1 1 1
- 24.07 deg, intensity 3.4, hkl 2 0 0
- 34.30 deg, intensity 100.0, hkl 2 2 0
- 40.46 deg, intensity 6.5, hkl 3 1 1
- 42.34 deg, intensity 1.1, hkl 2 2 2
- 49.29 deg, intensity 18.1, hkl 4 0 0
- 54.06 deg, intensity 2.9, hkl 3 3 1
- 55.58 deg, intensity 1.5, hkl 4 2 0
- 61.43 deg, intensity 37.6, hkl 4 2 2
- 65.60 deg, intensity 2.3, hkl 5 1 1
- 72.28 deg, intensity 11.6, hkl 4 4 0
- 76.16 deg, intensity 2.3, hkl 5 3 1

(5)
Starting from a cell relaxed with PBE, the X-ray powder pattern of Ce2Co4As3P was computed for Cu Kα X-rays.

```
data_Ce2Co4As3P
_chemical_formula_sum 'Ce2 Co4 As3 P1'
_space_group_name_H-M_alt 'P -4 m 2'
_space_group_IT_number 115
_space_group_name_Hall 'P -4 -2'
_cell_length_a 4.114
_cell_length_b 4.114
_cell_length_c 9.242
_cell_angle_alpha 90.00
_cell_angle_beta 90.00
_cell_angle_gamma 90.00
loop_
_atom_site_label
_atom_site_type_symbol
_atom_site_fract_x
_atom_site_fract_y
_atom_site_fract_z
Ce1 Ce 0.000 0.500 0.248
Co1 Co 0.000 0.000 0.500
Co2 Co 0.000 0.500 0.891
Co3 Co 0.500 0.500 0.500
As1 As 0.000 0.000 0.000
As2 As 0.000 0.500 0.635
P1 P 0.500 0.500 0.000
```

Most intense lines, 2θ = 10–80°, sorted by position:
- 23.67 deg, intensity 5.5, hkl 1 0 1
- 30.73 deg, intensity 17.3, hkl 1 1 0
- 36.47 deg, intensity 100.0, hkl 1 1 2
- 44.02 deg, intensity 37.5, hkl 2 0 0
- 50.44 deg, intensity 3.6, hkl 1 1 4
- 54.42 deg, intensity 13.2, hkl 1 0 5
- 58.42 deg, intensity 23.4, hkl 2 1 3
- 64.01 deg, intensity 11.8, hkl 2 2 0
- 68.99 deg, intensity 8.2, hkl 1 1 6
- 72.48 deg, intensity 11.1, hkl 2 1 5
- 72.68 deg, intensity 2.9, hkl 3 1 0
- 75.98 deg, intensity 17.1, hkl 3 1 2

(6)
Starting from a cell relaxed with PBE, the X-ray powder pattern of BaTh3As4 was computed for Cu Kα X-rays.

```
data_BaTh3As4
_chemical_formula_sum 'Ba2 Th6 As8'
_space_group_name_H-M_alt 'P 63/m m c'
_space_group_IT_number 194
_space_group_name_Hall '-P 6c 2c'
_cell_length_a 4.3278
_cell_length_b 4.3278
_cell_length_c 29.0507
_cell_angle_alpha 90.00
_cell_angle_beta 90.00
_cell_angle_gamma 120.00
loop_
_atom_site_label
_atom_site_type_symbol
_atom_site_fract_x
_atom_site_fract_y
_atom_site_fract_z
Ba1 Ba 0.3333 0.6667 0.2500
Th1 Th 0.0000 0.0000 0.0000
Th2 Th 0.3333 0.6667 0.6183
As1 As 0.0000 0.0000 0.1744
As2 As 0.3333 0.6667 0.0591
```

Most intense lines, 2θ = 10–80°, sorted by position:
- 24.52 deg, intensity 31.7, hkl 0 0 8
- 25.48 deg, intensity 45.9, hkl 1 0 3
- 26.77 deg, intensity 46.6, hkl 1 0 4
- 28.34 deg, intensity 82.5, hkl 1 0 5
- 30.15 deg, intensity 100.0, hkl 1 0 6
- 32.18 deg, intensity 25.2, hkl 1 0 7
- 41.74 deg, intensity 87.9, hkl 1 1 0
- 41.84 deg, intensity 49.1, hkl 1 0 11
- 44.56 deg, intensity 30.0, hkl 1 0 12
- 49.00 deg, intensity 24.6, hkl 1 1 8
- 67.33 deg, intensity 37.5, hkl 1 1 16
- 76.24 deg, intensity 32.6, hkl 3 0 0